[1]
Calculated powder X-ray diffraction pattern
Compound: Dy4Y4Er
Radiation: Cu Kα (λ = 1.5418 Å)
Structure: a structure optimized by DFT (GGA-PBE)

Crystal structure
Cell lengths 10.663, 10.663, 5.014 Å; angles 90.00, 90.00, 90.00 degrees
Space group I4/mmm (No. 139)
Unique sites:
Dy 0.000 0.334 0.000
Y 0.166 0.166 0.500
Er 0.000 0.000 0.000

Largest 8 diffraction maxima, in order of falling intensity, 2θ = 5–70°:
(3 0 1), 30.84 deg, I 100
(3 3 0), 35.76 deg, I 50
(6 0 0), 51.46 deg, I 36
(6 3 1), 61.17 deg, I 28
(3 0 3), 61.29 deg, I 14
(6 0 2), 64.24 deg, I 12
(1 0 1), 19.56 deg, I 4
(2 0 0), 16.63 deg, I 3


[2]
Calculated powder X-ray diffraction pattern
Compound: DyY3Er5
Radiation: Cu Kα (λ = 1.5418 Å)
Structure: a structure optimized by DFT (GGA-PBE)

Crystal structure
Cell lengths 18.091, 6.312, 11.358 Å; angles 90.00, 112.80, 90.00 degrees
Space group C2/c (No. 15)
Unique sites:
Dy 0.000 0.132 0.250
Y 0.000 0.000 0.000
Y 0.171 0.176 0.869
Er 0.000 0.392 0.750
Er 0.160 0.311 0.510
Er 0.168 0.299 0.212

Largest 8 diffraction maxima, in order of falling intensity, 2θ = 5–70°:
(6 0 0), 32.20 deg, I 100
(1 1 3), 31.52 deg, I 75
(5 1 -3), 32.34 deg, I 74
(2 2 1), 32.62 deg, I 68
(4 2 -1), 34.66 deg, I 45
(2 0 -2), 16.17 deg, I 37
(0 0 4), 34.26 deg, I 35
(2 2 0), 30.29 deg, I 31


[3]
Calculated powder X-ray diffraction pattern
Compound: Dy8Y3Er
Radiation: Cu Kα (λ = 1.5418 Å)
Structure: a structure optimized by DFT (GGA-PBE)

Crystal structure
Cell lengths 7.691, 7.691, 15.365 Å; angles 90.00, 90.00, 90.00 degrees
Space group I4/mmm (No. 139)
Unique sites:
Dy 0.248 0.248 0.124
Y 0.000 0.000 0.500
Y 0.000 0.500 0.250
Er 0.000 0.000 0.000

Largest 8 diffraction maxima, in order of falling intensity, 2θ = 5–70°:
(2 2 0), 32.95 deg, I 100
(4 2 4), 58.84 deg, I 38
(2 0 0), 23.14 deg, I 29
(4 0 0), 47.29 deg, I 18
(1 1 2), 20.00 deg, I 15
(4 2 0), 53.29 deg, I 13
(4 4 0), 69.11 deg, I 12
(2 2 4), 40.65 deg, I 9